Calculated powder diffractogram of LiH2Au for Cu Kα (λ = 1.5418 Å), from a cell relaxed with GGA-PBE.
Peak positions follow from Bragg's law for the DFT cell and can differ from measured ones.

Structure:
```
data_LiH2Au
_chemical_formula_sum 'Li2 H4 Au2'
_cell_length_a 3.2172
_cell_length_b 3.2172
_cell_length_c 9.5364
_cell_angle_alpha 90.00
_cell_angle_beta 90.00
_cell_angle_gamma 120.00
_space_group_name_H-M_alt 'P 63/m m c'
_space_group_IT_number 194
_space_group_name_Hall '-P 6c 2c'
loop_
_atom_site_label
_atom_site_type_symbol
_atom_site_fract_x
_atom_site_fract_y
_atom_site_fract_z
Li1 Li 0.0000 0.0000 0.0000
H1 H 0.3333 0.6667 0.0756
Au1 Au 0.3333 0.6667 0.2500
```

Principal peaks in the range 2θ = 15–90°, most intense first:
- 2θ 33.51, rel. 100, (1 0 1)
- 2θ 18.61, rel. 83, (0 0 2)
- 2θ 43.18, rel. 48, (1 0 3)
- 2θ 37.38, rel. 27, (1 0 2)
- 2θ 60.77, rel. 23, (1 1 2)
- 2θ 58.66, rel. 20, (1 0 5)
- 2θ 32.13, rel. 17, (1 0 0)
- 2θ 37.73, rel. 17, (0 0 4)
- 2θ 70.64, rel. 16, (1 1 4)
- 2θ 57.27, rel. 15, (1 1 0)



Calculated powder diffractogram of Li2H4Au for Cu Kα (λ = 1.5418 Å), from a cell relaxed with GGA-PBE.
Peak positions follow from Bragg's law for the DFT cell and can differ from measured ones.

Structure:
```
data_Li2H4Au
_chemical_formula_sum 'Li4 H8 Au2'
_cell_length_a 3.747
_cell_length_b 3.747
_cell_length_c 10.150
_cell_angle_alpha 90.00
_cell_angle_beta 90.00
_cell_angle_gamma 90.00
_space_group_name_H-M_alt 'I 4/m m m'
_space_group_IT_number 139
_space_group_name_Hall '-I 4 2'
loop_
_atom_site_label
_atom_site_type_symbol
_atom_site_fract_x
_atom_site_fract_y
_atom_site_fract_z
Li1 Li 0.000 0.000 0.134
H1 H 0.000 0.000 0.327
H2 H 0.000 0.500 0.000
Au1 Au 0.000 0.000 0.500
```

Principal peaks in the range 2θ = 15–90°, most intense first:
- 2θ 25.34, rel. 100, (1 0 1)
- 2θ 17.47, rel. 63, (0 0 2)
- 2θ 35.76, rel. 47, (1 0 3)
- 2θ 38.32, rel. 35, (1 1 2)
- 2θ 33.83, rel. 28, (1 1 0)
- 2θ 55.59, rel. 24, (2 1 1)
- 2θ 61.78, rel. 20, (2 1 3)
- 2θ 51.18, rel. 17, (1 0 5)
- 2θ 49.76, rel. 15, (1 1 4)
- 2θ 52.04, rel. 15, (2 0 2)